Simulated powder diffractogram of VAsBr2O for a wavelength of 1.5418 Å, from a cell relaxed with PBE+U.

Peak list (10 most intense, 2θ from 10° to 90°, in order of rising 2θ)
(hkl)	2theta	intensity
1 0 0	23.89	47
1 0 1	27.80	27
0 0 2	28.24	100
1 1 0	29.70	26
1 1 1	32.98	58
0 2 0	35.19	55
1 0 2	37.31	30
0 2 2	45.72	51
2 2 0	61.69	28
2 2 2	69.17	28

Structural model:
```
data_VAsBr2O
_chemical_formula_sum 'V1 As1 Br2 O1'
_space_group_name_H-M_alt 'P m m m'
_space_group_IT_number 47
_cell_length_a 3.725
_cell_length_b 5.100
_cell_length_c 6.321
_cell_angle_alpha 90.00
_cell_angle_beta 90.00
_cell_angle_gamma 90.00
loop_
_space_group_symop_operation_xyz
'x,y,z'
'-x,-y,-z'
'-x,-y,z'
'x,y,-z'
'x,-y,-z'
'-x,y,z'
'-x,y,-z'
'x,-y,z'
loop_
_atom_site_label
_atom_site_fract_x
_atom_site_fract_y
_atom_site_fract_z
V1 0.000 0.000 0.000
As1 0.500 0.000 0.500
Br1 0.500 0.500 0.000
Br2 0.500 0.500 0.500
O1 0.000 0.500 0.500
```